1.
CaLaAg: computed X-ray powder pattern (Cu Kα, 1.54184 Å), based on a DFT-relaxed cell (PBE, Alexandria).
No peak broadening, texture or thermal motion is included.

Principal peaks in the range 10 to 90 degrees two-theta, low angle first:
- 11.96 deg, rel. 12
- 25.96 deg, rel. 31
- 28.67 deg, rel. 17
- 31.76 deg, rel. 100
- 36.44 deg, rel. 11
- 40.24 deg, rel. 14
- 45.73 deg, rel. 17
- 56.86 deg, rel. 12

```
12
Lattice="6.881 0.000 0.000 0.000 3.955 0.000 -0.013 0.000 14.794" Properties=species:S:1:pos:R:3 pbc="T T T"
Ca 1.131 0.000 1.610
Ca 2.296 1.977 13.183
Ca 4.572 1.977 1.610
Ca 5.737 0.000 13.183
La 1.131 0.000 5.893
La 2.297 1.977 8.901
La 4.571 1.977 5.893
La 5.737 0.000 8.901
Ag 1.144 0.000 11.131
Ag 2.284 1.977 3.663
Ag 4.584 1.977 11.131
Ag 5.724 0.000 3.663
```

2.
Ca7Sn3H2: computed X-ray powder pattern (Cu Kα, 1.54184 Å), based on a DFT-relaxed cell (PBE, Alexandria).
No peak broadening, texture or thermal motion is included.

Principal peaks in the range 10 to 90 degrees two-theta, low angle first:
- 27.90 deg, rel. 12
- 31.27 deg, rel. 100
- 34.00 deg, rel. 15
- 36.04 deg, rel. 19
- 38.61 deg, rel. 16
- 53.84 deg, rel. 12
- 61.84 deg, rel. 13
- 65.28 deg, rel. 21

```
12
Lattice="2.492 -13.184 0.000 2.492 13.184 0.000 0.000 0.000 4.664" Properties=species:S:1:pos:R:3 pbc="T T T"
Ca 0.000 0.000 0.000
Ca 2.492 10.569 2.332
Ca 2.492 7.725 0.000
Ca 2.492 2.646 0.000
Ca 2.492 -2.646 0.000
Ca 2.492 -7.725 0.000
Ca 2.492 -10.569 2.332
Sn 2.492 4.865 2.332
Sn 2.492 0.000 2.332
Sn 2.492 -4.865 2.332
H 2.492 10.814 0.000
H 2.492 -10.814 0.000
```

3.
AcUB2O8: computed X-ray powder pattern (Cu Kα, 1.54184 Å), based on a DFT-relaxed cell (PBE, Alexandria).
No peak broadening, texture or thermal motion is included.

Principal peaks in the range 10 to 90 degrees two-theta, low angle first:
- 23.19 deg, rel. 97
- 24.34 deg, rel. 28
- 27.18 deg, rel. 100
- 38.08 deg, rel. 38
- 39.56 deg, rel. 31
- 45.06 deg, rel. 21
- 45.71 deg, rel. 53
- 46.99 deg, rel. 20

```
12
Lattice="2.363 1.364 7.313 -2.363 1.364 7.313 0.000 -2.729 7.313" Properties=species:S:1:pos:R:3 pbc="T T T"
Ac 0.000 0.000 0.000
U 0.000 0.000 10.969
B 0.000 0.000 5.493
B 0.000 0.000 16.446
O -0.967 -1.313 9.627
O -0.654 -1.494 12.312
O 0.000 0.000 6.930
O -0.654 1.494 9.627
O -0.967 1.313 12.312
O 0.000 0.000 15.009
O 1.621 -0.181 9.627
O 1.621 0.181 12.312
```

Please write out number 3 again, unchanged.
AcUB2O8: computed X-ray powder pattern (Cu Kα, 1.54184 Å), based on a DFT-relaxed cell (PBE, Alexandria).
No peak broadening, texture or thermal motion is included.

Principal peaks in the range 10 to 90 degrees two-theta, low angle first:
- 23.19 deg, rel. 97
- 24.34 deg, rel. 28
- 27.18 deg, rel. 100
- 38.08 deg, rel. 38
- 39.56 deg, rel. 31
- 45.06 deg, rel. 21
- 45.71 deg, rel. 53
- 46.99 deg, rel. 20

```
12
Lattice="2.363 1.364 7.313 -2.363 1.364 7.313 0.000 -2.729 7.313" Properties=species:S:1:pos:R:3 pbc="T T T"
Ac 0.000 0.000 0.000
U 0.000 0.000 10.969
B 0.000 0.000 5.493
B 0.000 0.000 16.446
O -0.967 -1.313 9.627
O -0.654 -1.494 12.312
O 0.000 0.000 6.930
O -0.654 1.494 9.627
O -0.967 1.313 12.312
O 0.000 0.000 15.009
O 1.621 -0.181 9.627
O 1.621 0.181 12.312
```